Starting from a structure optimized by DFT (PBE+U), the powder diffraction line list of Li3Mn4O8 was simulated for λ = 1.5418 Å (Cu Kα).

Top 6 peaks for 10° ≤ 2θ ≤ 90°, low angle first:
18.20 deg, rel. 100; 21.08 deg, rel. 20; 21.93 deg, rel. 21; 41.26 deg, rel. 41; 42.91 deg, rel. 38; 44.71 deg, rel. 34

Unit cell a=8.430 b=8.752 c=10.079 alpha=115.36 beta=114.22 gamma=90.21
Element x y z (fractional)
Li (0.000, 0.000, 0.000)
Li (0.122, 0.376, 0.248)
Li (0.123, 0.874, 0.247)
Li (0.247, 0.748, 0.495)
Li (0.375, 0.624, 0.750)
Li (0.377, 0.124, 0.750)
Li (0.500, 0.500, 0.000)
Li (0.623, 0.876, 0.250)
Li (0.625, 0.376, 0.250)
Li (0.753, 0.252, 0.505)
Li (0.877, 0.126, 0.753)
Li (0.878, 0.624, 0.752)
Mn (0.000, 0.000, 0.500)
Mn (0.000, 0.500, 0.000)
Mn (0.000, 0.500, 0.500)
Mn (0.131, 0.374, 0.751)
Mn (0.249, 0.249, 0.497)
Mn (0.250, 0.747, 0.000)
Mn (0.252, 0.254, 0.000)
Mn (0.374, 0.126, 0.248)
Mn (0.500, 0.000, 0.000)
Mn (0.500, 0.000, 0.500)
Mn (0.500, 0.500, 0.500)
Mn (0.626, 0.874, 0.752)
Mn (0.748, 0.746, 0.000)
Mn (0.750, 0.253, 0.000)
Mn (0.751, 0.751, 0.503)
Mn (0.869, 0.626, 0.249)
O (0.012, 0.730, 0.000)
O (0.021, 0.259, 0.509)
O (0.092, 0.622, 0.242)
O (0.127, 0.151, 0.748)
O (0.133, 0.597, 0.756)
O (0.151, 0.131, 0.257)
O (0.242, 0.023, 0.497)
O (0.256, 0.483, 0.986)
O (0.257, 0.475, 0.498)
O (0.270, 0.017, 0.009)
O (0.351, 0.365, 0.733)
O (0.370, 0.902, 0.242)
O (0.377, 0.349, 0.251)
O (0.402, 0.880, 0.760)
O (0.480, 0.239, 0.486)
O (0.487, 0.776, 0.000)
O (0.513, 0.224, 0.000)
O (0.520, 0.761, 0.514)
O (0.598, 0.120, 0.240)
O (0.623, 0.651, 0.749)
O (0.630, 0.098, 0.758)
O (0.649, 0.635, 0.267)
O (0.730, 0.983, 0.991)
O (0.743, 0.525, 0.502)
O (0.744, 0.517, 0.014)
O (0.758, 0.977, 0.503)
O (0.849, 0.869, 0.743)
O (0.867, 0.403, 0.244)
O (0.873, 0.849, 0.252)
O (0.908, 0.378, 0.758)
O (0.979, 0.741, 0.491)
O (0.988, 0.270, 0.000)